Diffraction record for Ag3SnAu. The powder diffractogram is computed, not measured: it uses a crystal structure in Alexandria, relaxed with PBE and a wavelength of 1.5418 Å.
Neutral-atom scattering factors, no anomalous dispersion.

Largest 10 diffraction maxima, sorted by position, 15 to 90 degrees two-theta:
Position (°2θ)  I/Imax
19.5  261
28.6  189
32.4  561
37.2  1000
38.3  148
39.6  396
43.2  408
45.7  555
69.2  237
76.7  238

Cell and atoms:
```
Ag3SnAu
1.0
8.568 0.000 0.000
0.000 2.898 0.000
-0.015 0.000 9.110
Ag Sn Au
6 2 2
direct
0.162 0.250 0.249 Ag
0.333 0.750 0.481 Ag
0.334 0.750 0.019 Ag
0.666 0.250 0.981 Ag
0.667 0.250 0.519 Ag
0.838 0.750 0.751 Ag
0.163 0.750 0.750 Sn
0.837 0.250 0.250 Sn
0.497 0.250 0.250 Au
0.503 0.750 0.750 Au
```